Entry 1:
For Sm2Ho3Hg3, the GGA-PBE geometry in Alexandria gives the simulated powder XRD pattern in this record (a wavelength of 1.5418 Å).

Principal peaks in the range 2θ = 10–90°, by angle:
- d 2.781, 2θ = 32.2°, intensity 22
- d 2.680, 2θ = 33.4°, intensity 100
- d 2.644, 2θ = 33.9°, intensity 26
- d 1.916, 2θ = 47.4°, intensity 15
- d 1.586, 2θ = 58.2°, intensity 11
- d 1.533, 2θ = 60.4°, intensity 19
- d 1.529, 2θ = 60.5°, intensity 10
- d 1.340, 2θ = 70.2°, intensity 10

Crystal structure
Cell: 3.750 5.287 22.249 Å, 90.00 90.00 90.00°
Fractional positions:
1 Sm 0.000 0.000 0.231
2 Sm 0.000 0.000 0.769
3 Sm 0.500 0.500 0.269
4 Sm 0.500 0.500 0.731
5 Ho 0.000 0.000 0.000
6 Ho 0.000 0.500 0.119
7 Ho 0.000 0.500 0.881
8 Ho 0.500 0.000 0.381
9 Ho 0.500 0.000 0.619
10 Ho 0.500 0.500 0.500
11 Hg 0.000 0.000 0.500
12 Hg 0.000 0.500 0.385
13 Hg 0.000 0.500 0.615
14 Hg 0.500 0.000 0.115
15 Hg 0.500 0.000 0.885
16 Hg 0.500 0.500 0.000

***

Entry 2:
For SmHo3Hg4, the GGA-PBE geometry in Alexandria gives the simulated powder XRD pattern in this record (a wavelength of 1.5418 Å).

Principal peaks in the range 2θ = 10–90°, by angle:
- d 2.645, 2θ = 33.9°, intensity 100
- d 2.619, 2θ = 34.2°, intensity 49
- d 1.889, 2θ = 48.2°, intensity 9
- d 1.852, 2θ = 49.2°, intensity 18
- d 1.532, 2θ = 60.4°, intensity 19
- d 1.517, 2θ = 61.1°, intensity 37
- d 1.323, 2θ = 71.3°, intensity 12
- d 1.171, 2θ = 82.3°, intensity 8

Crystal structure
Cell: 5.239 5.239 7.557 Å, 90.00 90.00 90.00°
Fractional positions:
1 Sm 0.000 0.000 0.000
2 Ho 0.000 0.000 0.500
3 Ho 0.500 0.500 0.000
4 Ho 0.500 0.500 0.500
5 Hg 0.000 0.500 0.258
6 Hg 0.000 0.500 0.742
7 Hg 0.500 0.000 0.258
8 Hg 0.500 0.000 0.742

***

Entry 3:
For Sm9Ho4Hg11, the GGA-PBE geometry in Alexandria gives the simulated powder XRD pattern in this record (a wavelength of 1.5418 Å).

Principal peaks in the range 2θ = 10–90°, by angle:
- d 2.758, 2θ = 32.5°, intensity 100
- d 2.649, 2θ = 33.8°, intensity 87
- d 2.617, 2θ = 34.3°, intensity 77
- d 1.976, 2θ = 45.9°, intensity 15
- d 1.784, 2θ = 51.2°, intensity 18
- d 1.577, 2θ = 58.5°, intensity 20
- d 1.557, 2θ = 59.4°, intensity 16
- d 1.498, 2θ = 61.9°, intensity 30

Crystal structure
Cell: 13.995 13.995 3.569 Å, 90.00 90.00 111.23°
Fractional positions:
1 Sm 0.000 0.000 0.000
2 Sm 0.129 0.645 0.000
3 Sm 0.294 0.462 0.000
4 Sm 0.355 0.871 0.000
5 Sm 0.462 0.294 0.000
6 Sm 0.538 0.706 0.000
7 Sm 0.645 0.129 0.000
8 Sm 0.706 0.538 0.000
9 Sm 0.871 0.355 0.000
10 Ho 0.060 0.248 0.000
11 Ho 0.248 0.060 0.000
12 Ho 0.752 0.940 0.000
13 Ho 0.940 0.752 0.000
14 Hg 0.085 0.441 0.500
15 Hg 0.135 0.865 0.500
16 Hg 0.241 0.241 0.500
17 Hg 0.332 0.668 0.500
18 Hg 0.441 0.085 0.500
19 Hg 0.500 0.500 0.500
20 Hg 0.559 0.915 0.500
21 Hg 0.668 0.332 0.500
22 Hg 0.759 0.759 0.500
23 Hg 0.865 0.135 0.500
24 Hg 0.915 0.559 0.500

***

Entry 4:
For SmHo2Hg8, the GGA-PBE geometry in Alexandria gives the simulated powder XRD pattern in this record (a wavelength of 1.5418 Å).

Principal peaks in the range 2θ = 10–90°, by angle:
- d 2.732, 2θ = 32.8°, intensity 22
- d 2.565, 2θ = 35.0°, intensity 100
- d 2.542, 2θ = 35.3°, intensity 32
- d 2.489, 2θ = 36.1°, intensity 11
- d 2.389, 2θ = 37.6°, intensity 18
- d 1.741, 2θ = 52.6°, intensity 14
- d 1.472, 2θ = 63.2°, intensity 18
- d 1.349, 2θ = 69.7°, intensity 10

Crystal structure
Cell: 8.498 8.498 8.498 Å, 145.19 127.00 64.98°
Fractional positions:
1 Sm 0.000 0.000 0.000
2 Ho 0.305 0.305 0.000
3 Ho 0.695 0.695 0.000
4 Hg 0.144 0.852 0.292
5 Hg 0.156 0.656 0.500
6 Hg 0.295 0.500 0.795
7 Hg 0.440 0.148 0.292
8 Hg 0.560 0.852 0.708
9 Hg 0.705 0.500 0.205
10 Hg 0.844 0.344 0.500
11 Hg 0.856 0.148 0.708

***

Entry 5:
For Sm3Ho2Hg2, the GGA-PBE geometry in Alexandria gives the simulated powder XRD pattern in this record (a wavelength of 1.5418 Å).

Principal peaks in the range 2θ = 10–90°, by angle:
- d 2.764, 2θ = 32.4°, intensity 93
- d 2.703, 2θ = 33.1°, intensity 100
- d 1.933, 2θ = 47.0°, intensity 33
- d 1.608, 2θ = 57.3°, intensity 15
- d 1.572, 2θ = 58.7°, intensity 35
- d 1.561, 2θ = 59.2°, intensity 19
- d 1.352, 2θ = 69.5°, intensity 12
- d 1.214, 2θ = 78.8°, intensity 15

Crystal structure
Cell: 9.361 5.409 8.580 Å, 90.00 111.36 90.00°
Fractional positions:
1 Sm 0.000 0.000 0.000
2 Sm 0.159 0.000 0.476
3 Sm 0.341 0.500 0.524
4 Sm 0.500 0.500 0.000
5 Sm 0.659 0.500 0.476
6 Sm 0.841 0.000 0.524
7 Ho 0.075 0.500 0.723
8 Ho 0.425 0.000 0.277
9 Ho 0.575 0.000 0.723
10 Ho 0.925 0.500 0.277
11 Hg 0.212 0.500 0.136
12 Hg 0.288 0.000 0.864
13 Hg 0.712 0.000 0.136
14 Hg 0.788 0.500 0.864

***

Entry 6:
For SmHoSnHg, the GGA-PBE geometry in Alexandria gives the simulated powder XRD pattern in this record (a wavelength of 1.5418 Å).

Principal peaks in the range 2θ = 10–90°, by angle:
- d 2.696, 2θ = 33.2°, intensity 53
- d 2.652, 2θ = 33.8°, intensity 100
- d 1.906, 2θ = 47.7°, intensity 19
- d 1.846, 2θ = 49.4°, intensity 9
- d 1.548, 2θ = 59.7°, intensity 40
- d 1.523, 2θ = 60.8°, intensity 18
- d 1.326, 2θ = 71.1°, intensity 12
- d 1.206, 2θ = 79.5°, intensity 9

Crystal structure
Cell: 3.812 3.812 7.384 Å, 90.00 90.00 90.00°
Fractional positions:
1 Sm 0.000 0.000 0.000
2 Ho 0.000 0.000 0.507
3 Sn 0.500 0.500 0.261
4 Hg 0.500 0.500 0.740

***

Entry 7:
For Ho5SnHg3, the GGA-PBE geometry in Alexandria gives the simulated powder XRD pattern in this record (a wavelength of 1.5418 Å).

Principal peaks in the range 2θ = 10–90°, by angle:
- d 2.725, 2θ = 32.9°, intensity 43
- d 2.676, 2θ = 33.5°, intensity 100
- d 2.638, 2θ = 34.0°, intensity 87
- d 2.083, 2θ = 43.4°, intensity 20
- d 1.879, 2θ = 48.5°, intensity 26
- d 1.530, 2θ = 60.5°, intensity 22
- d 1.459, 2θ = 63.8°, intensity 15
- d 1.400, 2θ = 66.8°, intensity 28

Crystal structure
Cell: 9.138 9.138 6.604 Å, 90.00 90.00 120.00°
Fractional positions:
1 Ho 0.000 0.288 0.250
2 Ho 0.000 0.712 0.750
3 Ho 0.288 0.000 0.250
4 Ho 0.288 0.288 0.750
5 Ho 0.333 0.667 0.000
6 Ho 0.333 0.667 0.500
7 Ho 0.667 0.333 0.000
8 Ho 0.667 0.333 0.500
9 Ho 0.712 0.000 0.750
10 Ho 0.712 0.712 0.250
11 Sn 0.000 0.000 0.000
12 Sn 0.000 0.000 0.500
13 Hg 0.000 0.382 0.750
14 Hg 0.000 0.618 0.250
15 Hg 0.382 0.000 0.750
16 Hg 0.382 0.382 0.250
17 Hg 0.618 0.000 0.250
18 Hg 0.618 0.618 0.750

***

Entry 8:
For Sr4HoHg5, the GGA-PBE geometry in Alexandria gives the simulated powder XRD pattern in this record (a wavelength of 1.5418 Å).

Principal peaks in the range 2θ = 10–90°, by angle:
- d 3.914, 2θ = 22.7°, intensity 13
- d 2.789, 2θ = 32.1°, intensity 100
- d 2.768, 2θ = 32.3°, intensity 53
- d 1.957, 2θ = 46.4°, intensity 20
- d 1.615, 2θ = 57.0°, intensity 15
- d 1.602, 2θ = 57.5°, intensity 38
- d 1.395, 2θ = 67.1°, intensity 9
- d 1.238, 2θ = 77.0°, intensity 9

Crystal structure
Cell: 3.914 3.914 19.879 Å, 90.00 90.00 90.00°
Fractional positions:
1 Sr 0.000 0.000 0.103
2 Sr 0.000 0.000 0.309
3 Sr 0.000 0.000 0.691
4 Sr 0.000 0.000 0.897
5 Ho 0.000 0.000 0.500
6 Hg 0.500 0.500 0.000
7 Hg 0.500 0.500 0.206
8 Hg 0.500 0.500 0.416
9 Hg 0.500 0.500 0.584
10 Hg 0.500 0.500 0.794

***

Entry 9:
For TbHo6Hg, the GGA-PBE geometry in Alexandria gives the simulated powder XRD pattern in this record (a wavelength of 1.5418 Å).

Principal peaks in the range 2θ = 10–90°, by angle:
- d 3.107, 2θ = 28.7°, intensity 39
- d 2.885, 2θ = 31.0°, intensity 94
- d 2.684, 2θ = 33.4°, intensity 44
- d 2.660, 2θ = 33.7°, intensity 24
- d 2.576, 2θ = 34.8°, intensity 100
- d 2.365, 2θ = 38.0°, intensity 23
- d 1.741, 2θ = 52.6°, intensity 31
- d 1.554, 2θ = 59.5°, intensity 29

Crystal structure
Cell: 6.261 6.261 6.261 Å, 94.75 94.75 94.75°
Fractional positions:
1 Tb 0.000 0.000 0.000
2 Ho 0.059 0.541 0.260
3 Ho 0.260 0.059 0.541
4 Ho 0.459 0.740 0.941
5 Ho 0.541 0.260 0.059
6 Ho 0.740 0.941 0.459
7 Ho 0.941 0.459 0.740
8 Hg 0.500 0.500 0.500

***

Entry 10:
For Tb2Ho3Hg7, the GGA-PBE geometry in Alexandria gives the simulated powder XRD pattern in this record (a wavelength of 1.5418 Å).

Principal peaks in the range 2θ = 10–90°, by angle:
- d 2.900, 2θ = 30.8°, intensity 23
- d 2.706, 2θ = 33.1°, intensity 40
- d 2.593, 2θ = 34.6°, intensity 35
- d 2.465, 2θ = 36.4°, intensity 100
- d 1.873, 2θ = 48.6°, intensity 27
- d 1.512, 2θ = 61.3°, intensity 22
- d 1.471, 2θ = 63.2°, intensity 21
- d 1.166, 2θ = 82.7°, intensity 10

Crystal structure
Cell: 11.750 11.750 5.413 Å, 90.00 90.00 154.50°
Fractional positions:
1 Tb 0.145 0.855 0.000
2 Tb 0.855 0.145 0.000
3 Ho 0.335 0.665 0.500
4 Ho 0.500 0.500 0.500
5 Ho 0.665 0.335 0.500
6 Hg 0.000 0.000 0.000
7 Hg 0.083 0.917 0.500
8 Hg 0.278 0.722 0.000
9 Hg 0.425 0.575 0.000
10 Hg 0.575 0.425 0.000
11 Hg 0.722 0.278 0.000
12 Hg 0.917 0.083 0.500

***

Entry 11:
For Tb2Ho2Hg7, the GGA-PBE geometry in Alexandria gives the simulated powder XRD pattern in this record (a wavelength of 1.5418 Å).

Principal peaks in the range 2θ = 10–90°, by angle:
- d 2.844, 2θ = 31.5°, intensity 34
- d 2.798, 2θ = 32.0°, intensity 32
- d 2.667, 2θ = 33.6°, intensity 47
- d 2.589, 2θ = 34.6°, intensity 81
- d 2.539, 2θ = 35.4°, intensity 33
- d 2.449, 2θ = 36.7°, intensity 100
- d 2.320, 2θ = 38.8°, intensity 20
- d 2.152, 2θ = 42.0°, intensity 26

Crystal structure
Cell: 7.374 7.374 5.955 Å, 109.97 109.97 92.66°
Fractional positions:
1 Tb 0.147 0.147 0.380
2 Tb 0.853 0.853 0.620
3 Ho 0.335 0.665 0.000
4 Ho 0.665 0.335 0.000
5 Hg 0.088 0.574 0.339
6 Hg 0.219 0.219 0.941
7 Hg 0.426 0.912 0.661
8 Hg 0.500 0.500 0.500
9 Hg 0.574 0.088 0.339
10 Hg 0.781 0.781 0.059
11 Hg 0.912 0.426 0.661

***

Entry 12:
For Tb7Ho4Hg, the GGA-PBE geometry in Alexandria gives the simulated powder XRD pattern in this record (a wavelength of 1.5418 Å).

Principal peaks in the range 2θ = 10–90°, by angle:
- d 2.898, 2θ = 30.9°, intensity 100
- d 2.811, 2θ = 31.8°, intensity 27
- d 2.490, 2θ = 36.1°, intensity 61
- d 1.781, 2θ = 51.3°, intensity 25
- d 1.741, 2θ = 52.6°, intensity 15
- d 1.518, 2θ = 61.1°, intensity 14
- d 1.505, 2θ = 61.6°, intensity 23
- d 1.155, 2θ = 83.7°, intensity 12

Crystal structure
Cell: 3.563 3.563 33.733 Å, 90.00 90.00 120.00°
Fractional positions:
1 Tb 0.000 0.000 0.000
2 Tb 0.000 0.000 0.257
3 Tb 0.000 0.000 0.743
4 Tb 0.333 0.667 0.171
5 Tb 0.333 0.667 0.427
6 Tb 0.667 0.333 0.573
7 Tb 0.667 0.333 0.829
8 Ho 0.333 0.667 0.658
9 Ho 0.333 0.667 0.915
10 Ho 0.667 0.333 0.085
11 Ho 0.667 0.333 0.342
12 Hg 0.000 0.000 0.500